No. 1
Theoretical X-ray diffraction stick pattern of AlNi for Cu Kα (weighted mean of Kα1 and Kα2), from a structure optimized by DFT (GGA-PBE).
Lines closer than 0.1° are merged.

Cell and atoms:
Cell: 2.752 2.752 3.099 Å, 90.00 90.00 90.43°
Atoms (fractional coordinates):
Al1 0.000 0.000 0.000
Ni1 0.500 0.500 0.500

The 10 most intense peaks (10 to 80 degrees two-theta), by intensity:
2θ = 44.00°, rel. 1000
2θ = 46.49°, rel. 211
2θ = 46.86°, rel. 206
2θ = 32.54°, rel. 204
2θ = 28.80°, rel. 140
2θ = 68.15°, rel. 126
2θ = 59.66°, rel. 96
2θ = 78.84°, rel. 81
2θ = 79.12°, rel. 80
2θ = 55.62°, rel. 40

No. 2
Theoretical X-ray diffraction stick pattern of AlNi3 for Cu Kα (weighted mean of Kα1 and Kα2), from a structure optimized by DFT (GGA-PBE).
Lines closer than 0.1° are merged.

Cell and atoms:
Cell: 4.001 4.001 4.001 Å, 60.00 60.00 60.00°
Atoms (fractional coordinates):
Al1 0.000 0.000 0.000
Ni1 0.250 0.250 0.250
Ni2 0.500 0.500 0.500
Ni3 0.750 0.750 0.750

The 8 most intense peaks (10 to 80 degrees two-theta), by intensity:
2θ = 45.34°, rel. 1000
2θ = 66.06°, rel. 150
2θ = 27.30°, rel. 80
2θ = 31.63°, rel. 41
2θ = 53.74°, rel. 34
2θ = 72.88°, rel. 12
2θ = 75.09°, rel. 11
2θ = 56.33°, rel. 10

No. 3
Theoretical X-ray diffraction stick pattern of AlNi for Cu Kα (weighted mean of Kα1 and Kα2), from a structure optimized by DFT (GGA-PBE).
Lines closer than 0.1° are merged.

Cell and atoms:
Cell: 2.690 2.690 4.111 Å, 106.39 106.39 62.45°
Atoms (fractional coordinates):
Al1 0.000 0.000 0.000
Ni1 0.500 0.500 0.500

The 10 most intense peaks (10 to 80 degrees two-theta), by intensity:
2θ = 41.25°, rel. 1000
2θ = 48.79°, rel. 600
2θ = 41.58°, rel. 488
2θ = 22.92°, rel. 402
2θ = 46.82°, rel. 341
2θ = 51.80°, rel. 249
2θ = 38.35°, rel. 214
2θ = 70.07°, rel. 190
2θ = 77.67°, rel. 140
2θ = 67.11°, rel. 109